Entry 1:
Calculated powder X-ray diffraction pattern
Compound: Li2Pr2SmSi2
Radiation: CuKα
Structure: a DFT-relaxed cell (GGA-PBE, Alexandria)

Cell and atoms:
Cell lengths 9.870, 9.870, 9.870 Å; angles 26.25, 26.25, 26.25 degrees
Fractional coordinates of all 7 atoms:
Li (0.108, 0.108, 0.108)
Li (0.892, 0.892, 0.892)
Pr (0.376, 0.376, 0.376)
Pr (0.624, 0.624, 0.624)
Sm (0.500, 0.500, 0.500)
Si (0.231, 0.231, 0.231)
Si (0.769, 0.769, 0.769)

Peak list (10 most intense, 15 to 90 degrees two-theta, in order of rising 2θ)
d [Å]	I_rel
3.846	1000
3.175	158
2.813	594
2.628	735
2.241	521
1.936	152
1.831	201
1.705	200
1.451	168
1.357	187

=====

Entry 2:
Calculated powder X-ray diffraction pattern
Compound: PaIr2Ru
Radiation: CuKα
Structure: a DFT-relaxed cell (GGA-PBE, Alexandria)

Cell and atoms:
Cell lengths 4.045, 4.045, 4.122 Å; angles 90.00, 90.00, 90.00 degrees
Fractional coordinates of all 4 atoms:
Pa (0.000, 0.000, 0.000)
Ir (0.000, 0.500, 0.500)
Ir (0.500, 0.000, 0.500)
Ru (0.500, 0.500, 0.000)

Peak list (10 most intense, 15 to 90 degrees two-theta, in order of rising 2θ)
d [Å]	I_rel
4.045	58
2.887	52
2.350	1000
2.061	171
2.023	323
1.444	220
1.430	107
1.238	134
1.222	256
1.175	114

=====

Entry 3:
Calculated powder X-ray diffraction pattern
Compound: HoCd2Hg6
Radiation: CuKα
Structure: a DFT-relaxed cell (GGA-PBE, Alexandria)

Cell and atoms:
Cell lengths 5.138, 5.138, 9.621 Å; angles 90.00, 90.00, 120.00 degrees
Fractional coordinates of all 9 atoms:
Ho (0.000, 0.000, 0.000)
Cd (0.333, 0.667, 0.188)
Cd (0.667, 0.333, 0.812)
Hg (0.000, 0.000, 0.329)
Hg (0.000, 0.000, 0.671)
Hg (0.333, 0.667, 0.529)
Hg (0.333, 0.667, 0.866)
Hg (0.667, 0.333, 0.134)
Hg (0.667, 0.333, 0.471)

Peak list (10 most intense, 15 to 90 degrees two-theta, in order of rising 2θ)
d [Å]	I_rel
2.602	989
2.569	1000
1.828	352
1.509	109
1.489	361
1.483	186
1.360	119
1.285	116
1.161	102
1.152	163

=====

Entry 4:
Calculated powder X-ray diffraction pattern
Compound: RbPa5Se12
Radiation: CuKα
Structure: a DFT-relaxed cell (GGA-PBE, Alexandria)

Cell and atoms:
Cell lengths 8.824, 8.824, 8.824 Å; angles 118.82, 107.06, 102.97 degrees
Fractional coordinates of all 18 atoms:
Rb (0.000, 0.000, 0.000)
Pa (0.159, 0.500, 0.659)
Pa (0.350, 0.850, 0.500)
Pa (0.500, 0.500, 0.000)
Pa (0.650, 0.150, 0.500)
Pa (0.841, 0.500, 0.341)
Se (0.121, 0.303, 0.818)
Se (0.155, 0.463, 0.309)
Se (0.155, 0.846, 0.691)
Se (0.341, 0.197, 0.539)
Se (0.341, 0.803, 0.144)
Se (0.485, 0.303, 0.182)
Se (0.515, 0.697, 0.818)
Se (0.659, 0.197, 0.856)
Se (0.659, 0.803, 0.461)
Se (0.845, 0.154, 0.309)
Se (0.845, 0.537, 0.691)
Se (0.879, 0.697, 0.182)

Peak list (10 most intense, 15 to 90 degrees two-theta, in order of rising 2θ)
d [Å]	I_rel
5.495	258
4.490	530
2.803	1000
2.740	634
2.676	687
2.530	233
2.318	303
2.101	579
1.534	243
1.381	267

=====

Copy entry 3 word for word.
Calculated powder X-ray diffraction pattern
Compound: HoCd2Hg6
Radiation: CuKα
Structure: a DFT-relaxed cell (GGA-PBE, Alexandria)

Cell and atoms:
Cell lengths 5.138, 5.138, 9.621 Å; angles 90.00, 90.00, 120.00 degrees
Fractional coordinates of all 9 atoms:
Ho (0.000, 0.000, 0.000)
Cd (0.333, 0.667, 0.188)
Cd (0.667, 0.333, 0.812)
Hg (0.000, 0.000, 0.329)
Hg (0.000, 0.000, 0.671)
Hg (0.333, 0.667, 0.529)
Hg (0.333, 0.667, 0.866)
Hg (0.667, 0.333, 0.134)
Hg (0.667, 0.333, 0.471)

Peak list (10 most intense, 15 to 90 degrees two-theta, in order of rising 2θ)
d [Å]	I_rel
2.602	989
2.569	1000
1.828	352
1.509	109
1.489	361
1.483	186
1.360	119
1.285	116
1.161	102
1.152	163